Diffraction record for SrMg14B. The XRD peak list is computed, not measured: it uses DFT lattice parameters and positions (PBE) and Cu Kα X-rays.
Lines closer than 0.1° are merged.

Top 10 peaks for 2θ = 10–90°, low angle first:
2θ/deg	d_spacing	I (rel.)
16.19	5.475	184
28.44	3.138	209
30.50	2.931	344
32.18	2.782	205
32.72	2.737	588
34.46	2.603	415
35.32	2.541	838
37.11	2.423	1000
48.25	1.886	248
71.24	1.324	194

Structure:
```
SrMg14B
1.0
10.411 0.000 0.000
0.000 3.101 5.824
0.000 -3.101 5.824
Sr Mg B
1 14 1
Direct
0.000 0.000 0.000
0.000 0.036 0.493
0.000 0.493 0.036
0.171 0.601 0.601
0.259 0.133 0.630
0.259 0.630 0.133
0.269 0.140 0.140
0.500 0.479 0.479
0.500 0.481 0.967
0.500 0.967 0.481
0.500 0.970 0.970
0.731 0.140 0.140
0.741 0.133 0.630
0.741 0.630 0.133
0.829 0.601 0.601
0.000 0.438 0.438
```